The following is a simulated powder X-ray diffraction pattern of Er2Ge5Rh3. It was derived from a cell relaxed with GGA-PBE, using Cu Kα (weighted mean of Kα1 and Kα2).

Structural model:
Lattice parameters (Å, degrees): 11.316 12.212 5.861 90.00 117.98 90.00
Space group C2/c (No. 15)
Inequivalent atoms, fractional coordinates:
Er1 0.231 0.140 0.237 (multiplicity 8)
Ge1 0.000 0.014 0.250 (multiplicity 4)
Ge2 0.000 0.278 0.250 (multiplicity 4)
Ge3 0.000 0.294 0.750 (multiplicity 4)
Ge4 0.171 0.406 0.170 (multiplicity 8)
Rh1 0.000 0.498 0.750 (multiplicity 4)
Rh2 0.097 0.142 0.626 (multiplicity 8)

Main lines, sorted by position (10° ≤ 2θ ≤ 80°):
(0 4 0), d = 3.053 Å, 2θ = 29.3°, I = 21
(2 0 -2), d = 2.926 Å, 2θ = 30.5°, I = 20
(2 2 1), d = 2.668 Å, 2θ = 33.6°, I = 54
(2 4 0), d = 2.605 Å, 2θ = 34.4°, I = 76
(0 0 2), d = 2.588 Å, 2θ = 34.7°, I = 66
(4 2 -1), d = 2.567 Å, 2θ = 35.0°, I = 63
(4 0 0), d = 2.498 Å, 2θ = 35.9°, I = 18
(4 0 -2), d = 2.467 Å, 2θ = 36.4°, I = 36
(5 1 -1), d = 2.216 Å, 2θ = 40.7°, I = 18
(2 4 -2), d = 2.113 Å, 2θ = 42.8°, I = 100
(5 3 -1), d = 1.971 Å, 2θ = 46.1°, I = 19
(4 0 -4), d = 1.463 Å, 2θ = 63.6°, I = 35